[1]
GeBi6: computed PXRD pattern (Cu Kα (weighted mean of Kα1 and Kα2)), based on a crystal structure in Alexandria, relaxed with PBE.
Lines closer than 0.1° are merged.

Most intense lines, 2θ from 10° to 80°, by angle:
d [Å]	Position (°2θ)	I_rel
6.214	14.3	83
4.394	20.2	41
3.587	24.8	100
2.779	32.2	25
2.537	35.4	77
2.349	38.3	66
2.197	41.1	49
1.553	59.5	34
1.426	65.5	21
1.325	71.2	32

Atomic structure:
Cell: 8.7875 8.7875 8.7875 Å, 90.00 90.00 90.00°
Atoms (fractional coordinates):
Ge (0.0000, 0.0000, 0.0000)
Ge (0.5000, 0.5000, 0.5000)
Bi (0.0000, 0.2500, 0.5000)
Bi (0.0000, 0.5000, 0.2500)
Bi (0.0000, 0.5000, 0.7500)
Bi (0.0000, 0.7500, 0.5000)
Bi (0.2500, 0.0000, 0.5000)
Bi (0.2500, 0.5000, 0.0000)
Bi (0.5000, 0.0000, 0.2500)
Bi (0.5000, 0.0000, 0.7500)
Bi (0.5000, 0.2500, 0.0000)
Bi (0.5000, 0.7500, 0.0000)
Bi (0.7500, 0.0000, 0.5000)
Bi (0.7500, 0.5000, 0.0000)


[2]
NaAs2RhO6: computed PXRD pattern (Cu Kα (weighted mean of Kα1 and Kα2)), based on a crystal structure in Alexandria, relaxed with PBE.
Lines closer than 0.1° are merged.

Most intense lines, 2θ from 10° to 80°, by angle:
d [Å]	Position (°2θ)	I_rel
4.361	20.4	44
3.059	29.2	100
2.678	33.5	29
2.609	34.4	51
1.985	45.7	24
1.888	48.2	12
1.869	48.7	14
1.580	58.4	26
1.519	61.0	12
1.507	61.5	43

Atomic structure:
Cell: 6.3063 6.3063 6.3063 Å, 48.88 48.88 48.88°
Atoms (fractional coordinates):
Na (0.0000, 0.0000, 0.0000)
As (0.2729, 0.2729, 0.2729)
As (0.7271, 0.7271, 0.7271)
Rh (0.5000, 0.5000, 0.5000)
O (0.1009, 0.7320, 0.4567)
O (0.2680, 0.5433, 0.8991)
O (0.4567, 0.1009, 0.7320)
O (0.5433, 0.8991, 0.2680)
O (0.7320, 0.4567, 0.1009)
O (0.8991, 0.2680, 0.5433)


[3]
Ba3Ga4O9: computed PXRD pattern (Cu Kα (weighted mean of Kα1 and Kα2)), based on a crystal structure in Alexandria, relaxed with PBE.
Lines closer than 0.1° are merged.

Most intense lines, 2θ from 10° to 80°, by angle:
d [Å]	Position (°2θ)	I_rel
3.713	24.0	47
3.445	25.9	45
3.381	26.4	42
3.229	27.6	96
3.152	28.3	66
3.115	28.7	73
3.100	28.8	75
3.057	29.2	100
2.894	30.9	63
2.759	32.4	46

Atomic structure:
Cell: 7.1308 8.3970 10.0961 Å, 85.03 73.58 74.02°
Atoms (fractional coordinates):
Ba (0.0520, 0.0565, 0.1885)
Ba (0.1777, 0.5636, 0.1606)
Ba (0.2991, 0.2158, 0.4639)
Ba (0.7009, 0.7842, 0.5361)
Ba (0.8223, 0.4364, 0.8394)
Ba (0.9480, 0.9435, 0.8115)
Ga (0.2603, 0.7303, 0.4346)
Ga (0.3345, 0.5574, 0.7305)
Ga (0.4072, 0.1804, 0.8044)
Ga (0.4363, 0.8167, 0.9129)
Ga (0.5637, 0.1833, 0.0871)
Ga (0.5928, 0.8196, 0.1956)
Ga (0.6655, 0.4426, 0.2695)
Ga (0.7397, 0.2697, 0.5654)
O (0.0361, 0.7991, 0.3678)
O (0.1967, 0.7174, 0.6262)
O (0.2212, 0.3785, 0.7784)
O (0.2637, 0.0274, 0.8888)
O (0.2845, 0.6706, 0.8947)
O (0.3041, 0.2357, 0.1970)
O (0.3892, 0.5134, 0.3611)
O (0.4092, 0.7953, 0.1036)
O (0.4309, 0.8783, 0.3793)
O (0.5691, 0.1217, 0.6207)
O (0.5908, 0.2047, 0.8964)
O (0.6108, 0.4866, 0.6389)
O (0.6959, 0.7643, 0.8030)
O (0.7155, 0.3294, 0.1053)
O (0.7363, 0.9726, 0.1112)
O (0.7788, 0.6215, 0.2216)
O (0.8033, 0.2826, 0.3738)
O (0.9639, 0.2009, 0.6322)


[4]
DyHo3Ag: computed PXRD pattern (Cu Kα (weighted mean of Kα1 and Kα2)), based on a crystal structure in Alexandria, relaxed with PBE.
Lines closer than 0.1° are merged.

Most intense lines, 2θ from 10° to 80°, by angle:
d [Å]	Position (°2θ)	I_rel
3.295	27.1	24
3.011	29.7	26
2.762	32.4	42
2.589	34.6	100
2.546	35.3	42
2.117	42.7	14
1.614	57.1	14
1.559	59.3	21
1.540	60.1	14
1.499	61.9	16

Atomic structure:
Cell: 6.6548 6.6548 7.6919 Å, 107.46 107.46 67.76°
Atoms (fractional coordinates):
Dy (0.0592, 0.0592, 0.2403)
Dy (0.9408, 0.9408, 0.7597)
Ho (0.0872, 0.5870, 0.3507)
Ho (0.4130, 0.9128, 0.6493)
Ho (0.4404, 0.4404, 0.7590)
Ho (0.5596, 0.5596, 0.2410)
Ho (0.5870, 0.0872, 0.3507)
Ho (0.9128, 0.4130, 0.6493)
Ag (0.2514, 0.2514, 0.9999)
Ag (0.7486, 0.7486, 0.0001)


[5]
ZrZnNiPt: computed PXRD pattern (Cu Kα (weighted mean of Kα1 and Kα2)), based on a crystal structure in Alexandria, relaxed with PBE.
Lines closer than 0.1° are merged.

Most intense lines, 2θ from 10° to 80°, by angle:
d [Å]	Position (°2θ)	I_rel
3.576	24.9	30
2.286	39.4	100
2.141	42.2	8
2.030	44.6	35
1.891	48.1	14
1.765	51.8	9
1.473	63.1	5
1.435	65.0	11
1.383	67.7	20
1.215	78.7	25

Atomic structure:
Cell: 4.0590 4.0590 7.5625 Å, 90.00 90.00 90.00°
Atoms (fractional coordinates):
Zr (0.0000, 0.0000, 0.0000)
Zr (0.5000, 0.5000, 0.5000)
Zn (0.0000, 0.0000, 0.5000)
Zn (0.5000, 0.5000, 0.0000)
Ni (0.0000, 0.5000, 0.2500)
Ni (0.5000, 0.0000, 0.7500)
Pt (0.0000, 0.5000, 0.7500)
Pt (0.5000, 0.0000, 0.2500)


[6]
Ac2HPtO6: computed PXRD pattern (Cu Kα (weighted mean of Kα1 and Kα2)), based on a crystal structure in Alexandria, relaxed with PBE.
Lines closer than 0.1° are merged.

Most intense lines, 2θ from 10° to 80°, by angle:
d [Å]	Position (°2θ)	I_rel
4.572	19.4	34
3.830	23.2	25
2.878	31.1	100
2.834	31.6	95
2.714	33.0	44
2.703	33.1	41
2.143	42.2	32
1.915	47.5	41
1.679	54.7	24
1.604	57.4	20

Atomic structure:
Cell: 5.4290 5.4059 10.0476 Å, 90.00 121.45 90.00°
Atoms (fractional coordinates):
Ac (0.2392, 0.0271, 0.2480)
Ac (0.2392, 0.4729, 0.7480)
Ac (0.7608, 0.5271, 0.2520)
Ac (0.7608, 0.9729, 0.7520)
H (0.0000, 0.0000, 0.5000)
H (0.0000, 0.5000, 0.0000)
Pt (0.5000, 0.0000, 0.0000)
Pt (0.5000, 0.5000, 0.5000)
O (0.1759, 0.2186, 0.9736)
O (0.1759, 0.2814, 0.4736)
O (0.2598, 0.6974, 0.9800)
O (0.2598, 0.8026, 0.4800)
O (0.3044, 0.5102, 0.2658)
O (0.3044, 0.9898, 0.7658)
O (0.6956, 0.0102, 0.2342)
O (0.6956, 0.4898, 0.7342)
O (0.7402, 0.1974, 0.5200)
O (0.7402, 0.3026, 0.0200)
O (0.8241, 0.7186, 0.5264)
O (0.8241, 0.7814, 0.0264)


[7]
Rb2ZrN2: computed PXRD pattern (Cu Kα (weighted mean of Kα1 and Kα2)), based on a crystal structure in Alexandria, relaxed with PBE.
Lines closer than 0.1° are merged.

Most intense lines, 2θ from 10° to 80°, by angle:
d [Å]	Position (°2θ)	I_rel
3.769	23.6	32
2.887	31.0	100
2.827	31.6	26
2.640	34.0	99
2.340	38.5	56
1.803	50.6	35
1.724	53.1	33
1.594	57.9	21
1.568	58.9	15
1.472	63.2	22

Atomic structure:
Cell: 3.4476 3.4476 11.3080 Å, 90.00 90.00 120.00°
Atoms (fractional coordinates):
Rb (0.3333, 0.6667, 0.2254)
Rb (0.6667, 0.3333, 0.7746)
Zr (0.0000, 0.0000, 0.5000)
N (0.3333, 0.6667, 0.6009)
N (0.6667, 0.3333, 0.3991)


[8]
BaLi2Zr3O8: computed PXRD pattern (Cu Kα (weighted mean of Kα1 and Kα2)), based on a crystal structure in Alexandria, relaxed with PBE.
Lines closer than 0.1° are merged.

Most intense lines, 2θ from 10° to 80°, by angle:
d [Å]	Position (°2θ)	I_rel
6.203	14.3	100
5.423	16.3	32
4.842	18.3	70
3.596	24.8	71
3.107	28.7	53
2.895	30.9	68
2.802	31.9	88
1.939	46.9	57
1.798	50.8	33
1.637	56.2	35

Atomic structure:
Cell: 7.2639 7.2639 7.2639 Å, 53.57 53.57 53.57°
Atoms (fractional coordinates):
Ba (0.0000, 0.0000, 0.0000)
Li (0.3217, 0.3217, 0.3217)
Li (0.8023, 0.8023, 0.8023)
Zr (0.3677, 0.3677, 0.8603)
Zr (0.3677, 0.8603, 0.3677)
Zr (0.8603, 0.3677, 0.3677)
O (0.1211, 0.1211, 0.5479)
O (0.1211, 0.5479, 0.1211)
O (0.1405, 0.1405, 0.1405)
O (0.1577, 0.6377, 0.6377)
O (0.5479, 0.1211, 0.1211)
O (0.5904, 0.5904, 0.5904)
O (0.6377, 0.1577, 0.6377)
O (0.6377, 0.6377, 0.1577)